The following is a calculated X-ray diffraction stick pattern of Sm2Co5Cu5. It was derived from the PBE geometry in the Materials Project, using CuKα.
No peak broadening, texture or thermal motion is included.

Atomic structure:
```
data_Sm2Co5Cu5
_chemical_formula_sum 'Sm2 Co5 Cu5'
_space_group_name_H-M_alt 'P 1'
_space_group_IT_number 1
_space_group_name_Hall 'P 1'
_cell_length_a 4.0566
_cell_length_b 5.0318
_cell_length_c 8.5631
_cell_angle_alpha 90.00
_cell_angle_beta 90.00
_cell_angle_gamma 90.00
loop_
_atom_site_label
_atom_site_fract_x
_atom_site_fract_y
_atom_site_fract_z
_atom_site_occupancy
Sm1 0.0000 0.0000 0.0000 1
Sm2 0.0000 0.5000 0.5000 1
Co1 0.0000 0.0000 0.3360 1
Co2 0.0000 0.0000 0.6640 1
Co3 0.0000 0.5000 0.1525 1
Co4 0.0000 0.5000 0.8475 1
Co5 0.5000 0.5000 0.0000 1
Cu1 0.5000 0.0000 0.5000 1
Cu2 0.5000 0.2497 0.2480 1
Cu3 0.5000 0.2497 0.7520 1
Cu4 0.5000 0.7503 0.2480 1
Cu5 0.5000 0.7503 0.7520 1
```

Top 10 peaks for 2θ = 15–90°, most intense first:
| Position (°2θ) | Rel. int. | hkl |
| --- | --- | --- |
| 42.7 | 100 | 1 1 3 |
| 42.3 | 71 | 1 2 0 |
| 30.2 | 50 | 1 1 1 |
| 44.7 | 44 | 2 0 0 |
| 41.6 | 44 | 0 2 2 |
| 30.4 | 33 | 1 0 2 |
| 36.2 | 30 | 0 1 3 |
| 62.7 | 25 | 2 2 2 |
| 68.9 | 23 | 1 3 3 |
| 76.8 | 16 | 0 2 6 |

---

The following is a calculated X-ray diffraction stick pattern of SmCo2Cu3. It was derived from the PBE geometry in the Materials Project, using CuKα.
No peak broadening, texture or thermal motion is included.

Atomic structure:
```
data_SmCo2Cu3
_chemical_formula_sum 'Sm1 Co2 Cu3'
_space_group_name_H-M_alt 'P 1'
_space_group_IT_number 1
_space_group_name_Hall 'P 1'
_cell_length_a 4.9468
_cell_length_b 4.9468
_cell_length_c 4.1178
_cell_angle_alpha 90.00
_cell_angle_beta 90.00
_cell_angle_gamma 120.00
loop_
_atom_site_label
_atom_site_fract_x
_atom_site_fract_y
_atom_site_fract_z
_atom_site_occupancy
Sm1 0.0000 0.0000 0.0000 1
Co1 0.3333 0.6667 0.0000 1
Co2 0.6667 0.3333 0.0000 1
Cu1 0.0000 0.5000 0.5000 1
Cu2 0.5000 0.0000 0.5000 1
Cu3 0.5000 0.5000 0.5000 1
```

Top 10 peaks for 2θ = 15–90°, most intense first:
| Position (°2θ) | Rel. int. | hkl |
| --- | --- | --- |
| 42.6 | 100 | 1 1 1 |
| 30.1 | 54 | 1 0 1 |
| 42.2 | 38 | 2 0 0 |
| 44.0 | 30 | 0 0 2 |
| 36.3 | 28 | 1 1 0 |
| 62.6 | 23 | 2 0 2 |
| 69.7 | 22 | 3 0 1 |
| 77.1 | 16 | 2 2 0 |
| 79.9 | 15 | 1 1 3 |
| 61.5 | 14 | 2 1 1 |

---

Repeat the first record exactly.
The following is a calculated X-ray diffraction stick pattern of Sm2Co5Cu5. It was derived from the PBE geometry in the Materials Project, using CuKα.
No peak broadening, texture or thermal motion is included.

Atomic structure:
```
data_Sm2Co5Cu5
_chemical_formula_sum 'Sm2 Co5 Cu5'
_space_group_name_H-M_alt 'P 1'
_space_group_IT_number 1
_space_group_name_Hall 'P 1'
_cell_length_a 4.0566
_cell_length_b 5.0318
_cell_length_c 8.5631
_cell_angle_alpha 90.00
_cell_angle_beta 90.00
_cell_angle_gamma 90.00
loop_
_atom_site_label
_atom_site_fract_x
_atom_site_fract_y
_atom_site_fract_z
_atom_site_occupancy
Sm1 0.0000 0.0000 0.0000 1
Sm2 0.0000 0.5000 0.5000 1
Co1 0.0000 0.0000 0.3360 1
Co2 0.0000 0.0000 0.6640 1
Co3 0.0000 0.5000 0.1525 1
Co4 0.0000 0.5000 0.8475 1
Co5 0.5000 0.5000 0.0000 1
Cu1 0.5000 0.0000 0.5000 1
Cu2 0.5000 0.2497 0.2480 1
Cu3 0.5000 0.2497 0.7520 1
Cu4 0.5000 0.7503 0.2480 1
Cu5 0.5000 0.7503 0.7520 1
```

Top 10 peaks for 2θ = 15–90°, most intense first:
| Position (°2θ) | Rel. int. | hkl |
| --- | --- | --- |
| 42.7 | 100 | 1 1 3 |
| 42.3 | 71 | 1 2 0 |
| 30.2 | 50 | 1 1 1 |
| 44.7 | 44 | 2 0 0 |
| 41.6 | 44 | 0 2 2 |
| 30.4 | 33 | 1 0 2 |
| 36.2 | 30 | 0 1 3 |
| 62.7 | 25 | 2 2 2 |
| 68.9 | 23 | 1 3 3 |
| 76.8 | 16 | 0 2 6 |